1.
Theoretical PXRD pattern of Ac3MgGe6Pt2 for Cu Ka, from a DFT-relaxed cell (PBE, Alexandria).
Kinematic intensities with the Lorentz-polarization factor, no thermal factor.

Top 10 peaks for 10 to 90 degrees two-theta, sorted by position:
d 3.343, intensity 481
d 3.182, intensity 1000
d 2.802, intensity 395
d 2.619, intensity 437
d 2.537, intensity 253
d 2.305, intensity 519
d 2.103, intensity 495
d 1.867, intensity 241
d 1.591, intensity 255
d 1.436, intensity 242

Crystal structure
Cell lengths 6.365, 6.365, 8.407 Å; angles 90.00, 90.00, 120.00 degrees
Fractional coordinates of all 12 atoms:
Ac: 0.000 0.000 0.000
Ac: 0.333 0.667 0.662
Ac: 0.667 0.333 0.338
Mg: 0.000 0.000 0.500
Ge: 0.198 0.396 0.294
Ge: 0.198 0.802 0.294
Ge: 0.396 0.198 0.706
Ge: 0.604 0.802 0.294
Ge: 0.802 0.198 0.706
Ge: 0.802 0.604 0.706
Pt: 0.333 0.667 0.041
Pt: 0.667 0.333 0.959

***

2.
Theoretical PXRD pattern of AlZn3Au7 for Cu Ka, from a DFT-relaxed cell (PBE, Alexandria).
Kinematic intensities with the Lorentz-polarization factor, no thermal factor.

Top 10 peaks for 10 to 90 degrees two-theta, sorted by position:
d 3.287, intensity 565
d 2.901, intensity 347
d 2.602, intensity 338
d 2.529, intensity 1000
d 2.430, intensity 892
d 2.312, intensity 241
d 2.217, intensity 372
d 2.202, intensity 832
d 2.081, intensity 635
d 1.752, intensity 582

Crystal structure
Cell lengths 6.698, 6.698, 5.077 Å; angles 109.14, 109.14, 93.06 degrees
Fractional coordinates of all 11 atoms:
Al: 0.000 0.000 0.000
Zn: 0.270 0.730 0.500
Zn: 0.500 0.500 0.000
Zn: 0.730 0.270 0.500
Au: 0.000 0.000 0.500
Au: 0.097 0.559 0.823
Au: 0.316 0.316 0.374
Au: 0.441 0.903 0.177
Au: 0.559 0.097 0.823
Au: 0.684 0.684 0.626
Au: 0.903 0.441 0.177

***

3.
Theoretical PXRD pattern of Sm8Sb2Te3 for Cu Ka, from a DFT-relaxed cell (PBE, Alexandria).
Kinematic intensities with the Lorentz-polarization factor, no thermal factor.

Top 10 peaks for 10 to 90 degrees two-theta, sorted by position:
d 3.358, intensity 1000
d 3.141, intensity 708
d 2.763, intensity 235
d 2.711, intensity 285
d 2.643, intensity 816
d 2.590, intensity 330
d 2.446, intensity 327
d 2.393, intensity 237
d 2.310, intensity 273
d 2.054, intensity 374

Crystal structure
Cell lengths 8.540, 8.540, 6.884 Å; angles 91.51, 91.51, 65.49 degrees
Fractional coordinates of all 13 atoms:
Sm: 0.043 0.649 0.308
Sm: 0.128 0.128 0.155
Sm: 0.351 0.957 0.692
Sm: 0.353 0.353 0.902
Sm: 0.647 0.647 0.098
Sm: 0.649 0.043 0.308
Sm: 0.872 0.872 0.845
Sm: 0.957 0.351 0.692
Sb: 0.296 0.296 0.456
Sb: 0.704 0.704 0.544
Te: 0.000 0.000 0.500
Te: 0.259 0.741 0.000
Te: 0.741 0.259 0.000

***

4.
Theoretical PXRD pattern of CeSi2 for Cu Ka, from a DFT-relaxed cell (PBE, Alexandria).
Kinematic intensities with the Lorentz-polarization factor, no thermal factor.

Top 10 peaks for 10 to 90 degrees two-theta, sorted by position:
d 3.933, intensity 362
d 3.535, intensity 220
d 3.091, intensity 505
d 2.679, intensity 1000
d 2.327, intensity 422
d 2.047, intensity 310
d 1.811, intensity 195
d 1.707, intensity 178
d 1.537, intensity 228
d 1.274, intensity 193

Crystal structure
Cell lengths 7.639, 7.639, 7.639 Å; angles 148.91, 148.91, 44.54 degrees
Fractional coordinates of all 6 atoms:
Ce: 0.375 0.625 0.750
Ce: 0.625 0.375 0.250
Si: 0.042 0.792 0.250
Si: 0.208 0.958 0.250
Si: 0.792 0.042 0.750
Si: 0.958 0.208 0.750